Calculated PXRD pattern of Ca4Mn2Al2O11 for Cu Kα, 1.54184 Å, from a cell relaxed with GGA+U.
Neutral-atom scattering factors, no anomalous dispersion.

Main lines, in order of rising 2θ (2θ = 15–90°):
2θ (°)	d/Å	I/Imax
32.9	2.724	61
33.5	2.678	70
33.6	2.664	100
33.8	2.652	91
47.4	1.919	56
47.8	1.901	54
49.2	1.851	46
59.1	1.563	22

Structural model:
```
Ca4Mn2Al2O11
1.0
3.8025 -14.8093 0.0000
3.8025 14.8093 0.0000
-3.7367 0.0000 3.8370
Ca Mn Al O
8 4 4 22
direct
0.0506 0.4361 0.4919
0.1450 0.2866 0.4472
0.2866 0.1450 0.4472
0.4361 0.0506 0.4919
0.5639 0.9494 0.5081
0.7134 0.8550 0.5528
0.8550 0.7134 0.5528
0.9494 0.5639 0.5081
0.1356 0.3849 0.0075
0.3849 0.1356 0.0075
0.6151 0.8644 0.9925
0.8644 0.6151 0.9925
0.0000 0.5000 0.0000
0.3204 0.3204 0.9866
0.5000 0.0000 0.0000
0.6796 0.6796 0.0134
0.1287 0.8713 0.5000
0.1300 0.8700 0.0000
0.1364 0.5064 0.0673
0.1443 0.2487 0.9597
0.2430 0.7570 0.0000
0.2435 0.7565 0.5000
0.2487 0.1443 0.9597
0.3476 0.3476 0.6703
0.3878 0.6122 0.5000
0.3908 0.6092 0.0000
0.4936 0.8636 0.9327
0.5064 0.1364 0.0673
0.6092 0.3908 0.0000
0.6122 0.3878 0.5000
0.6524 0.6524 0.3297
0.7513 0.8557 0.0403
0.7570 0.2430 0.0000
0.7565 0.2435 0.5000
0.8557 0.7513 0.0403
0.8636 0.4936 0.9327
0.8700 0.1300 0.0000
0.8713 0.1287 0.5000
```